Starting from a GGA-PBE-relaxed structure, the powder diffractogram of Dy4InHg was calculated for Cu Kα (weighted mean of Kα1 and Kα2).
No peak broadening, texture or thermal motion is included.

Cell and atoms:
```
6
Lattice="3.6600 0.0000 0.0000 0.0000 5.6628 0.0000 0.0000 0.0000 8.7089" Properties=species:S:1:pos:R:3 pbc="T T T"
Dy 0.0000 0.0000 1.7489
Dy 0.0000 0.0000 6.9600
Dy 1.8300 2.8314 2.5502
Dy 1.8300 2.8314 6.1587
In 1.8300 0.0000 4.3544
Hg 0.0000 2.8314 0.0000
```

Largest 12 diffraction maxima, by intensity, 10 to 80 degrees two-theta:
d [Å]  Position (°2θ)  intensity
2.511  35.8  100
2.583  34.7  48
2.831  31.6  44
3.374  26.4  38
1.565  59.0  24
2.169  41.6  23
1.375  68.2  19
1.493  62.2  18
1.573  58.7  15
1.537  60.2  14
3.074  29.0  12
1.830  49.8  12

Starting from a GGA-PBE-relaxed structure, the powder diffractogram of AcSi3Ir5 was calculated for Cu Kα (weighted mean of Kα1 and Kα2).
No peak broadening, texture or thermal motion is included.

Cell and atoms:
```
18
Lattice="1.9909 -6.2319 0.0000 1.9909 6.2319 0.0000 0.0000 0.0000 12.4795" Properties=species:S:1:pos:R:3 pbc="T T T"
Ac 1.9909 4.2218 9.3596
Ac 1.9909 -4.2218 3.1199
Si 1.9909 4.7850 3.1199
Si 1.9909 1.4236 0.4695
Si 1.9909 1.4236 5.7702
Si 1.9909 -1.4236 6.7092
Si 1.9909 -1.4236 12.0100
Si 1.9909 -4.7850 9.3596
Ir 0.0000 0.0000 0.0000
Ir 0.0000 0.0000 6.2397
Ir 1.9909 3.6957 0.8931
Ir 1.9909 3.6957 5.3466
Ir 1.9909 0.6740 8.0574
Ir 1.9909 0.6740 10.6618
Ir 1.9909 -0.6740 1.8177
Ir 1.9909 -0.6740 4.4220
Ir 1.9909 -3.6957 7.1329
Ir 1.9909 -3.6957 11.5863
```

Largest 12 diffraction maxima, by intensity, 10 to 80 degrees two-theta:
d [Å]  Position (°2θ)  intensity
2.802  31.9  100
2.409  37.3  62
3.460  25.7  42
1.991  45.6  40
2.113  42.8  37
2.875  31.1  37
1.973  46.0  30
1.613  57.1  25
2.611  34.3  23
1.401  66.7  20
2.788  32.1  20
1.685  54.5  19